# Sn2Hg7Pb3
Calculated powder XRD pattern, CuKα. Input: the GGA-PBE geometry in Alexandria.
Lines closer than 0.1° are merged.

Largest 10 diffraction maxima, low angle first, 2θ = 5–70°:
Position (°2θ), Rel. int., (hkl)
30.8, 370, 2 0 -1
31.4, 658, 0 0 6
31.8, 304, 1 1 -2
33.0, 1000, 1 1 2
33.6, 247, 1 1 -3
35.4, 240, 2 0 -4
36.2, 294, 1 1 -4
54.6, 304, 3 1 -1
54.8, 299, 1 1 8
64.1, 252, 0 2 6

Structural model:
```
data_Sn2Hg7Pb3
_space_group_name_H-M_alt 'P 1 2/m 1'
_space_group_IT_number 10
_cell_length_a 5.818
_cell_length_b 3.381
_cell_length_c 17.211
_cell_angle_alpha 90.00
_cell_angle_beta 96.94
_cell_angle_gamma 90.00
loop_
_space_group_symop_operation_xyz
'x,y,z'
'-x,-y,-z'
'-x,y,-z'
'x,-y,z'
loop_
_atom_site_label
_atom_site_type_symbol
_atom_site_fract_x
_atom_site_fract_y
_atom_site_fract_z
Sn1 Sn 0.135 0.000 0.306
Hg1 Hg 0.241 0.500 0.158
Hg2 Hg 0.242 0.000 0.481
Hg3 Hg 0.284 0.000 0.835
Hg4 Hg 0.500 0.500 0.000
Pb1 Pb 0.000 0.000 0.000
Pb2 Pb 0.342 0.500 0.647
```

# SmErPb6
Calculated powder XRD pattern, CuKα. Input: the GGA-PBE geometry in Alexandria.
Lines closer than 0.1° are merged.

Largest 8 diffraction maxima, low angle first, 2θ = 5–70°:
Position (°2θ), Rel. int., (hkl)
18.1, 9, 1 0 0
25.8, 9, 1 1 0
31.7, 1000, 1 1 2
36.8, 508, 2 0 0
41.3, 6, 2 1 0
53.0, 363, 2 2 0
63.1, 433, 3 1 2
66.2, 125, 2 2 4

Structural model:
```
data_SmErPb6
_space_group_name_H-M_alt 'P 4/m m m'
_space_group_IT_number 123
_space_group_name_Hall '-P 4 2'
_cell_length_a 4.888
_cell_length_b 4.888
_cell_length_c 9.782
_cell_angle_alpha 90.00
_cell_angle_beta 90.00
_cell_angle_gamma 90.00
loop_
_atom_site_label
_atom_site_type_symbol
_atom_site_fract_x
_atom_site_fract_y
_atom_site_fract_z
Sm1 Sm 0.000 0.000 0.000
Er1 Er 0.000 0.000 0.500
Pb1 Pb 0.000 0.500 0.253
Pb2 Pb 0.500 0.500 0.000
Pb3 Pb 0.500 0.500 0.500
```